# 1
Theoretical powder X-ray diffraction pattern
Compound: UGeTe
Radiation: Cu Kα (weighted mean of Kα1 and Kα2)
Structure: a GGA-PBE-relaxed structure
Kinematic intensities with the Lorentz-polarization factor, no thermal factor.

The 10 most intense peaks (2θ = 15–90°), most intense first:
index  2θ/deg  I_rel
1 0 5  33.60  100
1 1 4  37.12  93
1 1 0  30.76  60
2 0 0  44.05  54
2 1 5  56.52  46
1 0 1  22.21  44
1 1 2  32.45  32
0 0 4  20.27  27
3 1 4  76.42  24
1 0 9  51.97  22

Atomic structure:
Cell lengths 4.111, 4.111, 17.523 Å; angles 90.00, 90.00, 90.00 degrees
Space group I4/mmm (No. 139)
Asymmetric unit:
U  0.000  0.000  0.123
Ge  0.000  0.500  0.000
Te  0.000  0.000  0.315


# 2
Theoretical powder X-ray diffraction pattern
Compound: ZrGeTe
Radiation: Cu Kα (weighted mean of Kα1 and Kα2)
Structure: a GGA-PBE-relaxed structure
Kinematic intensities with the Lorentz-polarization factor, no thermal factor.

The 10 most intense peaks (2θ = 15–90°), most intense first:
index  2θ/deg  I_rel
1 0 2  30.26  100
1 1 2  38.51  84
1 1 1  34.54  75
1 0 3  37.34  69
2 0 0  47.56  59
1 1 0  33.13  39
1 0 5  54.89  32
2 1 2  57.41  32
0 0 3  28.80  31
2 1 3  61.97  31

Atomic structure:
Cell lengths 3.824, 3.824, 9.300 Å; angles 90.00, 90.00, 90.00 degrees
Space group P4/nmm (No. 129, origin choice 2)
Asymmetric unit:
Zr  0.250  0.250  0.233
Ge  0.250  0.750  0.000
Te  0.250  0.250  0.635


# 3
Theoretical powder X-ray diffraction pattern
Compound: ThGe2
Radiation: Cu Kα (weighted mean of Kα1 and Kα2)
Structure: a GGA-PBE-relaxed structure
Kinematic intensities with the Lorentz-polarization factor, no thermal factor.

The 10 most intense peaks (2θ = 15–90°), most intense first:
index  2θ/deg  I_rel
1 3 1  34.79  100
0 2 1  24.46  33
1 5 0  34.12  23
0 6 1  38.99  20
1 3 0  26.57  18
2 0 0  43.34  17
0 6 0  31.75  15
0 0 2  44.97  15
1 1 0  21.93  14
2 6 1  59.70  11

Atomic structure:
Cell lengths 4.175, 16.911, 4.032 Å; angles 90.00, 90.00, 90.00 degrees
Space group Cmcm (No. 63)
Asymmetric unit:
Th  0.000  0.107  0.250
Ge  0.000  0.251  0.750
Ge  0.000  0.451  0.250